1.
Mo2W: simulated powder XRD pattern (λ = 1.5418 Å (Cu Kα)), based on a GGA-PBE-relaxed structure.
Intensities are scaled so that the largest is 100.

Crystal structure
a = 5.389 Å, b = 4.491 Å, c = 7.993 Å
α = 90.00°, β = 90.00°, γ = 90.00°
Positions (direct):
Mo1 0.010 0.250 0.250
Mo2 0.169 0.250 0.579
Mo3 0.331 0.750 0.079
Mo4 0.490 0.750 0.750
Mo5 0.510 0.250 0.250
Mo6 0.669 0.250 0.921
Mo7 0.831 0.750 0.421
Mo8 0.990 0.750 0.750
W1 0.168 0.250 0.921
W2 0.332 0.750 0.421
W3 0.668 0.250 0.579
W4 0.832 0.750 0.079

Largest 8 diffraction maxima, sorted by position, 2θ = 15–90°:
2θ 38.98, I 45
2θ 39.32, I 100
2θ 40.16, I 47
2θ 40.37, I 21
2θ 40.65, I 35
2θ 48.02, I 25
2θ 64.34, I 20
2θ 72.40, I 22

=====

2.
Mo2W3: simulated powder XRD pattern (λ = 1.5418 Å (Cu Kα)), based on a GGA-PBE-relaxed structure.
Intensities are scaled so that the largest is 100.

Crystal structure
a = 8.079 Å, b = 7.235 Å, c = 5.254 Å
α = 78.87°, β = 61.48°, γ = 39.65°
Positions (direct):
Mo1 0.075 0.075 0.675
Mo2 0.325 0.325 0.925
Mo3 0.675 0.675 0.075
Mo4 0.925 0.925 0.325
W1 0.125 0.125 0.125
W2 0.275 0.275 0.475
W3 0.475 0.475 0.275
W4 0.525 0.525 0.725
W5 0.725 0.725 0.525
W6 0.875 0.875 0.875

Largest 8 diffraction maxima, sorted by position, 2θ = 15–90°:
2θ 38.78, I 100
2θ 40.06, I 23
2θ 48.51, I 26
2θ 62.88, I 12
2θ 64.67, I 11
2θ 70.21, I 9
2θ 71.93, I 8
2θ 73.67, I 8